No. 1
Diffraction record for CaMoF5. The powder diffraction line list is theoretical, not measured: it uses a structure optimized by DFT (GGA+U) and Cu Kα (λ = 1.5418 Å).
Intensities are scaled so that the largest is 100.

Peak list (10 most intense, 15 to 90 degrees two-theta, sorted by position)
2θ 16.53, rel. 31.0; 2θ 20.74, rel. 66.2; 2θ 24.62, rel. 17.6; 2θ 25.85, rel. 100.0; 2θ 33.37, rel. 23.3; 2θ 42.20, rel. 20.6; 2θ 45.64, rel. 23.7; 2θ 50.15, rel. 29.3; 2θ 50.62, rel. 14.9; 2θ 63.89, rel. 15.1

Cell and atoms:
```
data_CaMoF5
_chemical_formula_sum 'Ca4 Mo4 F20'
_space_group_name_H-M_alt 'C 1 2/c 1'
_space_group_IT_number 15
_space_group_name_Hall '-C 2yc'
_cell_length_a 9.4450
_cell_length_b 6.8788
_cell_length_c 7.9764
_cell_angle_alpha 90.00
_cell_angle_beta 114.91
_cell_angle_gamma 90.00
loop_
_atom_site_label
_atom_site_type_symbol
_atom_site_fract_x
_atom_site_fract_y
_atom_site_fract_z
Ca1 Ca 0.0000 0.0360 0.2500
Mo1 Mo 0.0000 0.5000 0.0000
F1 F 0.0000 0.3957 0.2500
F2 F 0.0094 0.1974 0.9664
F3 F 0.2415 0.4778 0.6273
```

No. 2
Diffraction record for TiMoP3O12. The powder diffraction line list is theoretical, not measured: it uses a structure optimized by DFT (GGA+U) and Cu Kα (λ = 1.5418 Å).
Intensities are scaled so that the largest is 100.

Peak list (10 most intense, 15 to 90 degrees two-theta, sorted by position)
2θ 20.08, rel. 94.0; 2θ 20.38, rel. 53.7; 2θ 23.80, rel. 100.0; 2θ 28.77, rel. 64.3; 2θ 32.06, rel. 44.1; 2θ 35.51, rel. 23.4; 2θ 35.69, rel. 22.4; 2θ 46.04, rel. 20.9; 2θ 52.82, rel. 18.1; 2θ 55.82, rel. 19.5

Cell and atoms:
```
data_TiMoP3O12
_chemical_formula_sum 'Ti6 Mo6 P18 O72'
_space_group_name_H-M_alt 'R 3 c'
_space_group_IT_number 161
_space_group_name_Hall 'R 3 -2"c'
_cell_length_a 8.7147
_cell_length_b 8.7147
_cell_length_c 21.8222
_cell_angle_alpha 90.00
_cell_angle_beta 90.00
_cell_angle_gamma 120.00
loop_
_atom_site_label
_atom_site_type_symbol
_atom_site_fract_x
_atom_site_fract_y
_atom_site_fract_z
Ti1 Ti 0.0000 0.0000 0.0000
Mo1 Mo 0.0000 0.0000 0.2808
P1 P 0.0506 0.3825 0.0571
O1 O 0.0254 0.1996 0.3314
O2 O 0.0279 0.1977 0.0492
O3 O 0.1615 0.4751 0.1133
O4 O 0.1659 0.4690 0.3950
```

No. 3
Diffraction record for Li4Nb3Cr5O16. The powder diffraction line list is theoretical, not measured: it uses a structure optimized by DFT (GGA+U) and Cu Kα (λ = 1.5418 Å).
Intensities are scaled so that the largest is 100.

Peak list (10 most intense, 15 to 90 degrees two-theta, sorted by position)
2θ 18.17, rel. 100.0; 2θ 19.21, rel. 29.2; 2θ 19.36, rel. 94.0; 2θ 25.04, rel. 30.5; 2θ 32.49, rel. 34.5; 2θ 35.82, rel. 55.0; 2θ 39.25, rel. 27.2; 2θ 44.61, rel. 40.9; 2θ 59.30, rel. 27.0; 2θ 61.62, rel. 30.5

Cell and atoms:
```
data_Li4Nb3Cr5O16
_chemical_formula_sum 'Li8 Nb6 Cr10 O32'
_space_group_name_H-M_alt 'C 1 m 1'
_space_group_IT_number 8
_space_group_name_Hall 'C -2y'
_cell_length_a 10.4544
_cell_length_b 5.9749
_cell_length_c 9.7629
_cell_angle_alpha 90.00
_cell_angle_beta 90.36
_cell_angle_gamma 90.00
loop_
_atom_site_label
_atom_site_type_symbol
_atom_site_fract_x
_atom_site_fract_y
_atom_site_fract_z
Li1 Li 0.0000 0.0000 0.0000
Li2 Li 0.0057 0.0000 0.4995
Li3 Li 0.1771 0.5000 0.3910
Li4 Li 0.3437 0.0000 0.9016
Nb1 Nb 0.0952 0.2714 0.7159
Nb2 Nb 0.1794 0.0000 0.2161
Cr1 Cr 0.1824 0.5000 0.9942
Cr2 Cr 0.3442 0.5000 0.7185
Cr3 Cr 0.3449 0.0000 0.4853
Cr4 Cr 0.4253 0.2460 0.2191
O1 O 0.0075 0.0000 0.8175
O2 O 0.0110 0.0000 0.3167
O3 O 0.0278 0.5000 0.8635
O4 O 0.0969 0.2450 0.1081
O5 O 0.1781 0.0000 0.6039
O6 O 0.1910 0.5000 0.5931
O7 O 0.2501 0.2809 0.8453
O8 O 0.2700 0.2192 0.3447
O9 O 0.3412 0.0000 0.1078
O10 O 0.3483 0.5000 0.1063
O11 O 0.4317 0.2501 0.6059
O12 O 0.4900 0.0000 0.3430
```

No. 4
Diffraction record for MgFe6O10F2. The powder diffraction line list is theoretical, not measured: it uses a structure optimized by DFT (GGA+U) and Cu Kα (λ = 1.5418 Å).
Intensities are scaled so that the largest is 100.

Peak list (10 most intense, 15 to 90 degrees two-theta, sorted by position)
2θ 25.75, rel. 40.9; 2θ 29.19, rel. 100.0; 2θ 33.49, rel. 48.0; 2θ 34.34, rel. 62.3; 2θ 34.54, rel. 25.1; 2θ 41.85, rel. 22.4; 2θ 49.93, rel. 17.5; 2θ 54.55, rel. 19.2; 2θ 55.14, rel. 30.6; 2θ 60.52, rel. 18.1

Cell and atoms:
```
data_MgFe6O10F2
_chemical_formula_sum 'Mg1 Fe6 O10 F2'
_space_group_name_H-M_alt 'P 1'
_space_group_IT_number 1
_space_group_name_Hall 'P 1'
_cell_length_a 5.7126
_cell_length_b 5.7238
_cell_length_c 7.5296
_cell_angle_alpha 71.07
_cell_angle_beta 71.16
_cell_angle_gamma 64.70
loop_
_atom_site_label
_atom_site_type_symbol
_atom_site_fract_x
_atom_site_fract_y
_atom_site_fract_z
Mg1 Mg 0.0000 0.0000 0.0000
Fe1 Fe 0.0813 0.0737 0.6156
Fe2 Fe 0.1674 0.1588 0.2194
Fe3 Fe 0.4415 0.4370 0.2806
Fe4 Fe 0.4420 0.4359 0.7800
Fe5 Fe 0.7245 0.7172 0.4396
Fe6 Fe 0.7283 0.7219 0.9455
O1 O 0.0482 0.4115 0.4168
O2 O 0.1154 0.7340 0.8057
O3 O 0.3400 0.8229 0.1152
O4 O 0.3694 0.3609 0.0568
O5 O 0.4188 0.0408 0.4171
O6 O 0.5025 0.4970 0.4990
O7 O 0.6616 0.6538 0.7255
O8 O 0.7402 0.1090 0.8047
O9 O 0.7940 0.7888 0.1726
O10 O 0.8289 0.3355 0.1159
F1 F 0.2025 0.1971 0.7816
F2 F 0.9602 0.9530 0.4420
```

No. 5
Diffraction record for CrO3. The powder diffraction line list is theoretical, not measured: it uses a structure optimized by DFT (GGA+U) and Cu Kα (λ = 1.5418 Å).
Intensities are scaled so that the largest is 100.

Peak list (8 most intense, 15 to 90 degrees two-theta, sorted by position)
2θ 24.27, rel. 100.0; 2θ 34.60, rel. 20.7; 2θ 49.73, rel. 24.0; 2θ 56.09, rel. 30.3; 2θ 61.99, rel. 7.2; 2θ 72.98, rel. 11.8; 2θ 78.21, rel. 12.1; 2θ 83.34, rel. 3.1

Cell and atoms:
```
data_CrO3
_chemical_formula_sum 'Cr1 O3'
_space_group_name_H-M_alt 'P m -3 m'
_space_group_IT_number 221
_space_group_name_Hall '-P 4 2 3'
_cell_length_a 3.6667
_cell_length_b 3.6667
_cell_length_c 3.6667
_cell_angle_alpha 90.00
_cell_angle_beta 90.00
_cell_angle_gamma 90.00
loop_
_atom_site_label
_atom_site_type_symbol
_atom_site_fract_x
_atom_site_fract_y
_atom_site_fract_z
Cr1 Cr 0.0000 0.0000 0.0000
O1 O 0.0000 0.0000 0.5000
```

No. 6
Diffraction record for MgV4O8. The powder diffraction line list is theoretical, not measured: it uses a structure optimized by DFT (GGA+U) and Cu Kα (λ = 1.5418 Å).
Intensities are scaled so that the largest is 100.

Peak list (10 most intense, 15 to 90 degrees two-theta, sorted by position)
2θ 17.63, rel. 100.0; 2θ 35.64, rel. 33.3; 2θ 37.14, rel. 9.0; 2θ 42.73, rel. 74.6; 2θ 46.56, rel. 7.5; 2θ 55.79, rel. 14.6; 2θ 61.05, rel. 19.3; 2θ 63.00, rel. 19.8; 2θ 65.98, rel. 11.9; 2θ 79.13, rel. 8.8

Cell and atoms:
```
data_MgV4O8
_chemical_formula_sum 'Mg3 V12 O24'
_space_group_name_H-M_alt 'R -3 m'
_space_group_IT_number 166
_space_group_name_Hall '-R 3 2"'
_cell_length_a 5.9019
_cell_length_b 5.9019
_cell_length_c 15.0921
_cell_angle_alpha 90.00
_cell_angle_beta 90.00
_cell_angle_gamma 120.00
loop_
_atom_site_label
_atom_site_type_symbol
_atom_site_fract_x
_atom_site_fract_y
_atom_site_fract_z
Mg1 Mg 0.0000 0.0000 0.0000
V1 V 0.0000 0.0000 0.5000
V2 V 0.0000 0.5000 0.5000
O1 O 0.0000 0.0000 0.2325
O2 O 0.0117 0.5058 0.7614
```

No. 7
Diffraction record for CaCoSi2O7. The powder diffraction line list is theoretical, not measured: it uses a structure optimized by DFT (GGA+U) and Cu Kα (λ = 1.5418 Å).
Intensities are scaled so that the largest is 100.

Peak list (10 most intense, 15 to 90 degrees two-theta, sorted by position)
2θ 15.75, rel. 37.5; 2θ 17.07, rel. 100.0; 2θ 23.35, rel. 57.6; 2θ 25.07, rel. 28.7; 2θ 28.29, rel. 52.2; 2θ 30.48, rel. 87.7; 2θ 38.16, rel. 27.8; 2θ 39.87, rel. 21.1; 2θ 50.51, rel. 27.7; 2θ 50.59, rel. 23.0

Cell and atoms:
```
data_CaCoSi2O7
_chemical_formula_sum 'Ca4 Co4 Si8 O28'
_space_group_name_H-M_alt 'C m m 2'
_space_group_IT_number 35
_space_group_name_Hall 'C 2 -2'
_cell_length_a 11.2075
_cell_length_b 11.2623
_cell_length_c 5.1935
_cell_angle_alpha 90.00
_cell_angle_beta 90.00
_cell_angle_gamma 90.00
loop_
_atom_site_label
_atom_site_type_symbol
_atom_site_fract_x
_atom_site_fract_y
_atom_site_fract_z
Ca1 Ca 0.0000 0.1607 0.0000
Co1 Co 0.2500 0.2500 0.5278
Si1 Si 0.0000 0.3579 0.5741
Si2 Si 0.1361 0.0000 0.4709
O1 O 0.0000 0.0000 0.3269
O2 O 0.0000 0.3179 0.2766
O3 O 0.0000 0.5000 0.6280
O4 O 0.1140 0.0000 0.7807
O5 O 0.1154 0.2934 0.7176
O6 O 0.1982 0.1191 0.3510
```

No. 8
Diffraction record for Na2CoCSO7. The powder diffraction line list is theoretical, not measured: it uses a structure optimized by DFT (GGA+U) and Cu Kα (λ = 1.5418 Å).
Intensities are scaled so that the largest is 100.

Peak list (10 most intense, 15 to 90 degrees two-theta, sorted by position)
2θ 16.37, rel. 69.4; 2θ 23.79, rel. 29.6; 2θ 25.52, rel. 81.2; 2θ 26.38, rel. 100.0; 2θ 32.86, rel. 43.1; 2θ 33.09, rel. 31.3; 2θ 33.19, rel. 34.7; 2θ 34.04, rel. 49.7; 2θ 37.24, rel. 26.7; 2θ 41.32, rel. 31.2

Cell and atoms:
```
data_Na2CoCSO7
_chemical_formula_sum 'Na8 Co4 C4 S4 O28'
_space_group_name_H-M_alt 'P 1'
_space_group_IT_number 1
_space_group_name_Hall 'P 1'
_cell_length_a 8.5644
_cell_length_b 8.5677
_cell_length_c 9.0669
_cell_angle_alpha 91.13
_cell_angle_beta 91.12
_cell_angle_gamma 104.05
loop_
_atom_site_label
_atom_site_type_symbol
_atom_site_fract_x
_atom_site_fract_y
_atom_site_fract_z
Na1 Na 0.0000 0.0000 0.0000
Na2 Na 0.0172 0.5183 0.4261
Na3 Na 0.2473 0.7527 0.9978
Na4 Na 0.2650 0.2717 0.4251
Na5 Na 0.4993 0.5016 0.9976
Na6 Na 0.5170 0.0177 0.4256
Na7 Na 0.7459 0.2532 0.0001
Na8 Na 0.7650 0.7711 0.4262
Co1 Co 0.3692 0.6243 0.5679
Co2 Co 0.3931 0.1496 0.8568
Co3 Co 0.8694 0.1236 0.5675
Co4 Co 0.8944 0.6478 0.8572
C1 C 0.3702 0.1240 0.1289
C2 C 0.3942 0.6478 0.2959
C3 C 0.8700 0.6239 0.1292
C4 C 0.8940 0.1479 0.2956
S1 S 0.1169 0.3710 0.7911
S2 S 0.1464 0.9011 0.6334
S3 S 0.6168 0.8711 0.7915
S4 S 0.6469 0.4002 0.6338
O1 O 0.0164 0.9493 0.5482
O2 O 0.0676 0.5004 0.8763
O3 O 0.0877 0.8421 0.7815
O4 O 0.1756 0.4300 0.6429
O5 O 0.1962 0.7719 0.5483
O6 O 0.2469 0.3228 0.8763
O7 O 0.2759 0.0258 0.0318
O8 O 0.2819 0.5374 0.3568
O9 O 0.2882 0.0445 0.6541
O10 O 0.3555 0.1088 0.2667
O11 O 0.4088 0.6625 0.1582
O12 O 0.4737 0.7286 0.7710
O13 O 0.4793 0.2376 0.0684
O14 O 0.4914 0.7432 0.3929
O15 O 0.5171 0.4495 0.5494
O16 O 0.5681 0.0010 0.8761
O17 O 0.5886 0.3415 0.7822
O18 O 0.6756 0.9294 0.6431
O19 O 0.6955 0.2705 0.5484
O20 O 0.7463 0.8216 0.8765
O21 O 0.7730 0.5281 0.0323
O22 O 0.7825 0.0367 0.3564
O23 O 0.7899 0.5426 0.6542
O24 O 0.8554 0.6094 0.2670
O25 O 0.9087 0.1625 0.1578
O26 O 0.9746 0.2281 0.7706
O27 O 0.9821 0.7346 0.0682
O28 O 0.9906 0.2440 0.3925
```